Structure and theoretical powder X-ray diffraction pattern of Ba2TlCrF8 (DFT lattice parameters and positions (GGA+U); Cu Kα (weighted mean of Kα1 and Kα2)).

Principal peaks in the range 10 to 90 degrees two-theta, by intensity:
Position (°2θ)  I_rel
26.39  100
22.90  67
27.14  54
28.65  51
40.85  47
46.07  28
45.43  25
39.22  23
48.95  19
50.25  18

Cell and atoms:
```
data_Ba2TlCrF8
_space_group_name_H-M_alt 'P 1 2/m 1'
_space_group_IT_number 10
_space_group_name_Hall '-P 2y'
_cell_length_a 4.6611
_cell_length_b 8.4806
_cell_length_c 5.6649
_cell_angle_alpha 90.00
_cell_angle_beta 99.72
_cell_angle_gamma 90.00
loop_
_atom_site_label
_atom_site_type_symbol
_atom_site_fract_x
_atom_site_fract_y
_atom_site_fract_z
_atom_site_occupancy
Ba1 Ba 0.0000 0.2403 0.0000 1
Tl1 Tl 0.5000 0.5000 0.5000 1
Cr1 Cr 0.5000 0.0000 0.5000 1
F1 F 0.0745 0.5000 0.7731 1
F2 F 0.1172 0.0000 0.3001 1
F3 F 0.4283 0.1726 0.7207 1
```